Structure and calculated X-ray diffraction stick pattern of Rb2PH6S3O3 (a cell relaxed with GGA-PBE; a wavelength of 1.5418 Å).

Structural model:
```
60
Lattice="9.2474 0.0000 0.0000 0.0000 13.0540 0.0000 -4.0235 0.0000 8.4336" Properties=species:S:1:pos:R:3 pbc="T T T"
Rb 0.2922 2.4824 1.5397
Rb -1.7195 4.0446 5.7565
Rb -0.4218 8.1937 7.5990
Rb 1.5900 11.3873 3.3822
Rb 3.6339 1.6667 5.0514
Rb 5.6457 4.8603 0.8346
Rb 6.9435 9.0094 2.6772
Rb 4.9317 10.5716 6.8940
P -1.4497 13.0535 5.2150
P 0.5621 6.5275 0.9982
P 6.6736 0.0005 3.2186
P 4.6619 6.5265 7.4354
H 0.0032 7.1673 4.0067
H -2.0086 12.4136 8.2235
H 1.0482 8.1789 4.6581
H 3.0599 11.4021 0.4413
H 2.9893 0.3963 1.3406
H 0.9776 6.1307 5.5574
H 0.3546 2.0690 7.0157
H 2.3663 4.4580 2.7989
H 4.0329 2.0443 0.1314
H 2.0212 4.4827 4.3482
H 3.1608 7.8313 2.1412
H 1.1490 11.7497 6.3581
H 4.0749 1.3043 2.0756
H 2.0632 5.2227 6.2924
H 3.2028 8.5713 4.0854
H 1.1910 11.0097 8.3022
H 2.8576 8.5960 5.6347
H 4.8693 10.9850 1.4179
H 4.2463 6.9233 2.8762
H 2.2346 12.6577 7.0930
H 2.1640 1.6519 7.9923
H 4.1758 4.8751 3.7755
H 7.2325 0.6404 0.2101
H 5.2207 5.8866 4.4269
S -2.7424 0.7286 6.6067
S -0.7306 5.7984 2.3899
S 1.0747 8.4657 1.3311
S -0.9371 11.1153 5.5480
S 0.1565 1.2286 4.9148
S 2.1682 5.2984 0.6980
S 3.0557 7.7556 7.7357
S 5.0674 11.8254 3.5188
S 6.1610 1.9387 2.8857
S 4.1493 4.5883 7.1025
S 5.9546 7.2556 6.0437
S 7.9663 12.3254 1.8269
O 0.2498 7.6157 4.8590
O 2.2615 11.9653 0.6422
O 3.1858 1.3284 1.6361
O 1.1741 5.1986 5.8529
O 0.5886 2.4846 7.8919
O 2.6003 4.0424 3.6751
O 2.6236 9.0116 4.7585
O 4.6353 10.5694 0.5417
O 4.0498 7.8554 2.5807
O 2.0381 11.7256 6.7975
O 2.9624 1.0887 7.7914
O 4.9741 5.4383 3.5746
```

Principal peaks in the range 5 to 70 degrees two-theta, low angle first:
2θ = 12.5°, 7.084 Å, intensity 78.8
2θ = 22.4°, 3.975 Å, intensity 63.9
2θ = 29.4°, 3.042 Å, intensity 68.2
2θ = 32.0°, 2.799 Å, intensity 72.8
2θ = 32.3°, 2.773 Å, intensity 99.3
2θ = 32.8°, 2.728 Å, intensity 100.0

---

Structure and calculated X-ray diffraction stick pattern of Rb3Cu5O4 (a cell relaxed with GGA-PBE; a wavelength of 1.5418 Å).

Structural model:
```
48
Lattice="9.9596 0.0000 0.0000 0.0000 7.4765 0.0000 -4.1269 0.0000 13.8885" Properties=species:S:1:pos:R:3 pbc="T T T"
Rb 0.6284 1.2415 1.2896
Rb -1.4350 2.4967 8.2339
Rb 2.3712 5.3257 1.1444
Rb 0.3077 5.8890 8.0886
Rb -0.4555 0.6547 12.4122
Rb 1.6079 3.0835 5.4680
Rb 4.2247 4.3929 8.4205
Rb 6.2882 6.8218 1.4762
Rb 5.5249 1.5875 5.7999
Rb 3.4614 2.1508 12.7441
Rb 7.2677 4.9797 5.6546
Rb 5.2042 6.2350 12.5989
Cu -2.4370 5.0099 10.3068
Cu -0.3735 6.2047 3.3626
Cu -0.9149 0.6186 5.2445
Cu -2.9783 3.1196 12.1887
Cu -0.5882 4.1754 11.9988
Cu 1.4753 7.0392 5.0546
Cu 3.3411 0.3417 3.2375
Cu 1.2776 3.3965 10.1817
Cu 2.0257 1.5120 8.6282
Cu 4.0891 2.2262 1.6839
Cu 1.7435 5.2502 12.2045
Cu 3.8070 5.9645 5.2603
Cu 4.5550 4.0799 3.7068
Cu 2.4916 7.1348 10.6510
Cu 4.3573 0.4372 8.8339
Cu 6.4208 3.3010 1.8897
Cu 8.8110 4.3569 1.6998
Cu 6.7475 6.8578 8.6440
Cu 6.2062 1.2717 10.5259
Cu 8.2696 2.4665 3.5817
O -3.6293 1.4216 12.3443
O -1.5658 2.3167 5.4000
O -2.3090 4.8624 12.1638
O -0.2455 6.3523 5.2196
O 3.4929 0.5127 1.4151
O 1.4294 3.2256 8.3593
O 3.1955 0.2389 5.0764
O 1.1321 3.4993 12.0207
O 4.7006 3.9771 1.8678
O 2.6371 7.2376 8.8120
O 4.4032 4.2509 5.5292
O 2.3397 6.9638 12.4734
O 6.0782 1.1242 8.6689
O 8.1417 2.6141 1.7247
O 7.3985 5.1598 8.4885
O 9.4619 6.0549 1.5442
```

Principal peaks in the range 5 to 70 degrees two-theta, low angle first:
2θ = 25.6°, 3.475 Å, intensity 100.0
2θ = 27.1°, 3.294 Å, intensity 42.3
2θ = 28.2°, 3.167 Å, intensity 37.4
2θ = 29.8°, 2.994 Å, intensity 62.8
2θ = 29.9°, 2.990 Å, intensity 64.2
2θ = 30.5°, 2.931 Å, intensity 94.2

---

Structure and calculated X-ray diffraction stick pattern of U2Ni12As7 (a cell relaxed with GGA-PBE; a wavelength of 1.5418 Å).

Structural model:
```
21
Lattice="9.3799 0.0000 0.0000 -4.6899 8.1232 0.0000 0.0000 0.0000 3.8055" Properties=species:S:1:pos:R:3 pbc="T T T"
U 0.0000 0.0000 0.0000
U 0.0000 5.4155 1.9028
Ni -0.7952 2.2803 1.9028
Ni -2.4973 5.8263 0.0000
Ni -2.3176 7.6717 1.9028
Ni 0.8929 3.0473 0.0000
Ni 3.2349 1.7653 0.0000
Ni 2.6527 3.7499 1.9028
Ni 4.8060 0.4224 1.9028
Ni 1.6045 7.3728 0.0000
Ni 3.1127 6.2944 1.9028
Ni 4.6013 4.4390 0.0000
Ni 6.2336 1.9189 0.0000
Ni 6.6111 3.9509 1.9028
As -1.3941 3.6329 0.0000
As 1.4844 1.7107 1.9028
As -0.8467 7.5141 0.0000
As 2.2408 5.0994 0.0000
As 4.6899 2.7077 1.9028
As 7.1562 0.4302 1.9028
As 5.4292 5.9823 1.9028
```

Principal peaks in the range 5 to 70 degrees two-theta, low angle first:
2θ = 32.2°, 2.777 Å, intensity 21.3
2θ = 37.6°, 2.390 Å, intensity 100.0
2θ = 46.9°, 1.939 Å, intensity 17.9
2θ = 47.8°, 1.903 Å, intensity 21.9
2θ = 51.6°, 1.773 Å, intensity 23.4
2θ = 54.9°, 1.674 Å, intensity 17.4

---

Please write out number 2 again, unchanged.
Structure and calculated X-ray diffraction stick pattern of Rb3Cu5O4 (a cell relaxed with GGA-PBE; a wavelength of 1.5418 Å).

Structural model:
```
48
Lattice="9.9596 0.0000 0.0000 0.0000 7.4765 0.0000 -4.1269 0.0000 13.8885" Properties=species:S:1:pos:R:3 pbc="T T T"
Rb 0.6284 1.2415 1.2896
Rb -1.4350 2.4967 8.2339
Rb 2.3712 5.3257 1.1444
Rb 0.3077 5.8890 8.0886
Rb -0.4555 0.6547 12.4122
Rb 1.6079 3.0835 5.4680
Rb 4.2247 4.3929 8.4205
Rb 6.2882 6.8218 1.4762
Rb 5.5249 1.5875 5.7999
Rb 3.4614 2.1508 12.7441
Rb 7.2677 4.9797 5.6546
Rb 5.2042 6.2350 12.5989
Cu -2.4370 5.0099 10.3068
Cu -0.3735 6.2047 3.3626
Cu -0.9149 0.6186 5.2445
Cu -2.9783 3.1196 12.1887
Cu -0.5882 4.1754 11.9988
Cu 1.4753 7.0392 5.0546
Cu 3.3411 0.3417 3.2375
Cu 1.2776 3.3965 10.1817
Cu 2.0257 1.5120 8.6282
Cu 4.0891 2.2262 1.6839
Cu 1.7435 5.2502 12.2045
Cu 3.8070 5.9645 5.2603
Cu 4.5550 4.0799 3.7068
Cu 2.4916 7.1348 10.6510
Cu 4.3573 0.4372 8.8339
Cu 6.4208 3.3010 1.8897
Cu 8.8110 4.3569 1.6998
Cu 6.7475 6.8578 8.6440
Cu 6.2062 1.2717 10.5259
Cu 8.2696 2.4665 3.5817
O -3.6293 1.4216 12.3443
O -1.5658 2.3167 5.4000
O -2.3090 4.8624 12.1638
O -0.2455 6.3523 5.2196
O 3.4929 0.5127 1.4151
O 1.4294 3.2256 8.3593
O 3.1955 0.2389 5.0764
O 1.1321 3.4993 12.0207
O 4.7006 3.9771 1.8678
O 2.6371 7.2376 8.8120
O 4.4032 4.2509 5.5292
O 2.3397 6.9638 12.4734
O 6.0782 1.1242 8.6689
O 8.1417 2.6141 1.7247
O 7.3985 5.1598 8.4885
O 9.4619 6.0549 1.5442
```

Principal peaks in the range 5 to 70 degrees two-theta, low angle first:
2θ = 25.6°, 3.475 Å, intensity 100.0
2θ = 27.1°, 3.294 Å, intensity 42.3
2θ = 28.2°, 3.167 Å, intensity 37.4
2θ = 29.8°, 2.994 Å, intensity 62.8
2θ = 29.9°, 2.990 Å, intensity 64.2
2θ = 30.5°, 2.931 Å, intensity 94.2